The following is a computed PXRD pattern of V2Fe4O9. It was derived from a crystal structure in Alexandria, relaxed with PBE+U, using Cu Kα, 1.54184 Å.
Lines closer than 0.1° are merged.

Main lines, low angle first (10° ≤ 2θ ≤ 90°):
23.81 deg, d = 3.737 Å, rel. 389; 32.19 deg, d = 2.781 Å, rel. 1000; 32.57 deg, d = 2.749 Å, rel. 478; 34.75 deg, d = 2.581 Å, rel. 801; 35.23 deg, d = 2.548 Å, rel. 326; 40.18 deg, d = 2.244 Å, rel. 190; 47.45 deg, d = 1.916 Å, rel. 214; 48.73 deg, d = 1.869 Å, rel. 350; 51.99 deg, d = 1.759 Å, rel. 263; 52.89 deg, d = 1.731 Å, rel. 300; 53.11 deg, d = 1.724 Å, rel. 283; 62.91 deg, d = 1.477 Å, rel. 309

```
V2Fe4O9
1.0
4.492 -2.548 0.000
4.492 2.548 0.000
-0.328 0.000 14.155
V Fe O
4 8 18
Cartesian
4.193 2.508 12.057
4.300 2.508 9.176
4.357 -2.508 4.980
4.464 -2.508 2.098
2.895 0.051 2.616
2.847 0.025 6.759
2.731 -0.051 9.694
2.683 -0.025 13.837
5.973 0.025 0.319
5.925 0.051 4.462
5.809 -0.025 7.396
5.761 -0.051 11.539
1.511 0.793 1.283
1.117 0.679 10.627
2.927 1.446 8.308
1.281 -0.679 3.549
4.306 0.996 1.307
4.246 0.982 10.617
4.515 0.996 5.771
1.347 -0.793 8.361
5.565 1.446 12.926
3.091 -1.446 1.230
7.309 0.793 5.795
4.142 -0.996 8.384
4.410 -0.982 3.539
4.351 -0.996 12.849
7.376 0.679 10.607
5.729 -1.446 5.848
7.540 -0.679 3.529
7.145 -0.793 12.872
```